Diffraction record for Tb2Pm3Mg8. The X-ray powder pattern is computed, not measured: it uses a cell relaxed with PBE and Cu Kα (weighted mean of Kα1 and Kα2).
No peak broadening, texture or thermal motion is included.

Atomic structure:
```
Tb2Pm3Mg8
1.0
2.9306 1.6920 12.5422
-2.9306 1.6920 12.5422
0.0000 -3.3840 12.5422
Tb Pm Mg
2 3 8
Direct
0.1402 0.1402 0.1402
0.8598 0.8598 0.8598
0.3167 0.3167 0.3167
0.5000 0.5000 0.5000
0.6833 0.6833 0.6833
0.2248 0.2248 0.2248
0.2321 0.2321 0.7306
0.2321 0.7306 0.2321
0.2694 0.7679 0.7679
0.7306 0.2321 0.2321
0.7679 0.2694 0.7679
0.7679 0.7679 0.2694
0.7752 0.7752 0.7752
```

Top 6 peaks for 2θ = 5–70°, low angle first:
2θ/deg, I/Imax
14.12, 50
21.11, 71
30.50, 88
31.54, 100
33.76, 75
54.87, 42